Diffraction record for Ca2Mn3Si3O14. The X-ray powder pattern is theoretical, not measured: it uses a cell relaxed with PBE+U and CuKα.

Most intense lines, 2θ = 10–80°, sorted by position:
- 17.8 deg, I 84
- 23.5 deg, I 100
- 29.8 deg, I 89
- 30.9 deg, I 36
- 31.9 deg, I 78
- 34.7 deg, I 75
- 38.1 deg, I 37
- 42.0 deg, I 35
- 57.5 deg, I 51
- 61.3 deg, I 35

Crystal structure
```
Ca2Mn3Si3O14
1.0
8.6702 0.0000 0.0000
0.0000 6.0490 0.0000
-3.0539 0.0000 9.9780
Ca Mn Si O
4 6 6 28
direct
0.1683 0.2500 0.3116
0.2611 0.2500 0.6787
0.7389 0.7500 0.3213
0.8317 0.7500 0.6884
0.0000 0.0000 0.0000
0.0000 0.5000 0.0000
0.5000 0.0000 0.0000
0.5000 0.0000 0.5000
0.5000 0.5000 0.0000
0.5000 0.5000 0.5000
0.1656 0.7500 0.5030
0.2159 0.7500 0.8105
0.3059 0.7500 0.1928
0.6941 0.2500 0.8072
0.7841 0.2500 0.1895
0.8344 0.2500 0.4970
0.0022 0.7500 0.3833
0.0750 0.7500 0.8883
0.0927 0.2500 0.9407
0.1161 0.7500 0.6492
0.1945 0.5293 0.1633
0.1945 0.9707 0.1633
0.2704 0.5187 0.5032
0.2704 0.9813 0.5032
0.3234 0.5251 0.8406
0.3234 0.9749 0.8406
0.4010 0.2500 0.0580
0.4157 0.7500 0.0823
0.4440 0.2500 0.3889
0.4449 0.7500 0.3431
0.5551 0.2500 0.6569
0.5560 0.7500 0.6111
0.5843 0.2500 0.9177
0.5990 0.7500 0.9420
0.6766 0.0251 0.1594
0.6766 0.4749 0.1594
0.7296 0.0187 0.4968
0.7296 0.4813 0.4968
0.8055 0.0293 0.8367
0.8055 0.4707 0.8367
0.8839 0.2500 0.3508
0.9073 0.7500 0.0593
0.9250 0.2500 0.1117
0.9978 0.2500 0.6167
```

---

Diffraction record for CaV6O11F. The X-ray powder pattern is theoretical, not measured: it uses a cell relaxed with PBE+U and CuKα.

Most intense lines, 2θ = 10–80°, sorted by position:
- 21.1 deg, I 73
- 27.1 deg, I 31
- 28.2 deg, I 100
- 29.5 deg, I 34
- 35.8 deg, I 30
- 36.5 deg, I 19
- 37.7 deg, I 32
- 41.3 deg, I 30
- 47.3 deg, I 26
- 53.8 deg, I 26

Crystal structure
```
CaV6O11F
1.0
5.2754 0.0000 0.0000
-1.4720 5.0690 0.0000
-0.0225 -0.0212 8.6666
Ca V O F
1 6 11 1
direct
0.0000 0.0000 0.0000
0.3151 0.6833 0.3261
0.3174 0.6851 0.6747
0.3411 0.6593 0.0005
0.7201 0.2779 0.1952
0.7226 0.2805 0.8055
0.9224 0.0781 0.5004
0.0256 0.3502 0.3396
0.0257 0.3532 0.6601
0.1387 0.8615 0.5004
0.1703 0.8265 0.1851
0.1734 0.8291 0.8154
0.4937 0.5060 0.1728
0.4950 0.5073 0.8283
0.5800 0.0288 0.0014
0.6468 0.9752 0.3409
0.6503 0.9749 0.6614
0.9718 0.4198 0.9993
0.4732 0.5277 0.5005
```

---

Diffraction record for Li3Mn2CoO6. The X-ray powder pattern is theoretical, not measured: it uses a cell relaxed with PBE+U and CuKα.

Most intense lines, 2θ = 10–80°, sorted by position:
- 18.1 deg, I 100
- 33.7 deg, I 20
- 36.2 deg, I 25
- 40.5 deg, I 33
- 44.0 deg, I 50
- 46.7 deg, I 11
- 57.9 deg, I 9
- 61.2 deg, I 16
- 61.6 deg, I 16
- 63.3 deg, I 11

Crystal structure
```
Li3Mn2CoO6
1.0
2.6767 -1.4383 0.0000
2.6767 1.4383 0.0000
-0.9090 0.0000 14.6676
Li Mn Co O
3 2 1 6
direct
0.0000 0.0000 0.0000
0.3350 0.3350 0.6636
0.6650 0.6650 0.3364
0.3320 0.3320 0.1672
0.6680 0.6680 0.8328
0.0000 0.0000 0.5000
0.0201 0.0201 0.7558
0.3125 0.3125 0.9103
0.3251 0.3251 0.4241
0.6749 0.6749 0.5759
0.6875 0.6875 0.0897
0.9799 0.9799 0.2442
```

---

Diffraction record for Ti4Fe6O15. The X-ray powder pattern is theoretical, not measured: it uses a cell relaxed with PBE+U and CuKα.

Most intense lines, 2θ = 10–80°, sorted by position:
- 23.5 deg, I 29
- 32.4 deg, I 100
- 32.5 deg, I 50
- 34.4 deg, I 38
- 34.7 deg, I 73
- 48.0 deg, I 40
- 48.6 deg, I 19
- 52.7 deg, I 50
- 60.6 deg, I 18
- 61.7 deg, I 17

Crystal structure
```
Ti4Fe6O15
1.0
5.2137 0.0000 0.0000
-2.6019 4.8763 0.0000
-0.0563 -1.7689 21.3421
Ti Fe O
8 12 30
direct
0.0000 0.0000 0.0000
0.0207 0.0284 0.8575
0.1219 0.2052 0.2992
0.2159 0.4010 0.6017
0.5181 0.0086 0.4976
0.6858 0.3908 0.0970
0.8392 0.6333 0.2541
0.9018 0.7996 0.7013
0.1188 0.2161 0.1570
0.2263 0.4259 0.4578
0.3153 0.6116 0.8986
0.3187 0.6103 0.7570
0.4101 0.8061 0.1967
0.4112 0.8088 0.0531
0.5200 0.0060 0.3570
0.6115 0.2104 0.6545
0.6205 0.2018 0.7979
0.7150 0.4201 0.9537
0.8112 0.5981 0.3982
0.9177 0.8085 0.5545
0.0364 0.7819 0.9140
0.0423 0.3672 0.8190
0.0852 0.5256 0.6694
0.1480 0.0392 0.6409
0.1528 0.9242 0.7765
0.2063 0.6358 0.5404
0.2250 0.7626 0.4225
0.2487 0.9127 0.2783
0.2752 0.1735 0.5149
0.3502 0.3151 0.3757
0.4051 0.4511 0.2466
0.4058 0.0572 0.1337
0.4229 0.1752 0.0130
0.4683 0.2916 0.8755
0.4768 0.5684 0.1163
0.5800 0.7150 0.9752
0.6139 0.5725 0.6186
0.6197 0.4531 0.7378
0.6249 0.8664 0.8379
0.6623 0.7164 0.4723
0.6672 0.9637 0.7177
0.7545 0.1215 0.5702
0.7862 0.2526 0.4426
0.8013 0.8510 0.3390
0.8529 0.9686 0.2225
0.8744 0.3841 0.3125
0.8938 0.1307 0.0705
0.9305 0.5071 0.1768
0.9553 0.6345 0.0371
0.9708 0.2342 0.9403
```

---

Diffraction record for PrFe2O6. The X-ray powder pattern is theoretical, not measured: it uses a cell relaxed with PBE+U and CuKα.

Most intense lines, 2θ = 10–80°, sorted by position:
- 20.0 deg, I 93
- 33.0 deg, I 100
- 38.9 deg, I 49
- 40.7 deg, I 9
- 47.4 deg, I 40
- 51.9 deg, I 21
- 58.9 deg, I 39
- 69.2 deg, I 21
- 72.9 deg, I 12
- 78.9 deg, I 10

Crystal structure
```
PrFe2O6
1.0
7.6859 0.0000 0.0000
0.0000 5.4247 0.0000
0.0000 0.0000 5.4262
Pr Fe O
2 4 12
direct
0.0000 0.2279 0.0000
0.5000 0.7721 0.5000
0.2490 0.2548 0.5067
0.2510 0.7452 0.0067
0.7490 0.7452 0.0067
0.7510 0.2548 0.5067
0.0000 0.2522 0.4542
0.0000 0.7563 0.0427
0.2231 0.4773 0.7804
0.2292 0.9880 0.7444
0.2708 0.0120 0.2444
0.2769 0.5227 0.2804
0.5000 0.2437 0.5427
0.5000 0.7478 0.9542
0.7231 0.5227 0.2804
0.7292 0.0120 0.2444
0.7708 0.9880 0.7444
0.7769 0.4773 0.7804
```

---

Diffraction record for K6MgFe2O6. The X-ray powder pattern is theoretical, not measured: it uses a cell relaxed with PBE+U and CuKα.

Most intense lines, 2θ = 10–80°, sorted by position:
- 14.8 deg, I 48
- 19.2 deg, I 53
- 27.9 deg, I 39
- 28.3 deg, I 37
- 29.8 deg, I 100
- 30.9 deg, I 27
- 32.0 deg, I 31
- 32.6 deg, I 30
- 32.9 deg, I 35
- 42.4 deg, I 34

Crystal structure
```
K6MgFe2O6
1.0
6.2736 0.0000 0.0000
-0.4174 7.0154 0.0000
-0.2052 -3.1382 6.3984
K Mg Fe O
6 1 2 6
direct
0.0000 0.0000 0.0000
0.0113 0.5472 0.4947
0.3714 0.3159 0.7534
0.4974 0.0381 0.0327
0.5134 0.5878 0.4822
0.8027 0.1444 0.6029
0.6392 0.6289 0.0790
0.0164 0.5496 0.0504
0.2089 0.9291 0.3870
0.2639 0.1967 0.3672
0.2706 0.9178 0.6531
0.3235 0.6483 0.1141
0.7670 0.5998 0.8150
0.7801 0.3517 0.0533
0.8762 0.8118 0.2799
```

---

Diffraction record for V3Fe2O8. The X-ray powder pattern is theoretical, not measured: it uses a cell relaxed with PBE+U and CuKα.

Most intense lines, 2θ = 10–80°, sorted by position:
- 18.7 deg, I 25
- 25.6 deg, I 89
- 33.3 deg, I 85
- 34.9 deg, I 28
- 35.7 deg, I 100
- 36.2 deg, I 73
- 39.9 deg, I 32
- 55.5 deg, I 52
- 60.7 deg, I 72
- 62.6 deg, I 59

Crystal structure
```
V3Fe2O8
1.0
5.9356 0.0000 0.0000
-2.9678 5.1404 0.0000
0.0000 0.0000 9.4781
V Fe O
6 4 16
direct
0.1598 0.3197 0.0000
0.1598 0.8402 0.0000
0.3197 0.1598 0.5000
0.6803 0.8402 0.0000
0.8402 0.1598 0.5000
0.8402 0.6803 0.5000
0.3333 0.6667 0.3142
0.3333 0.6667 0.7122
0.6667 0.3333 0.2122
0.6667 0.3333 0.8142
0.0000 0.0000 0.3876
0.0000 0.0000 0.8876
0.0267 0.5133 0.8695
0.1661 0.3322 0.6101
0.1661 0.8339 0.6101
0.3322 0.1661 0.1101
0.3333 0.6667 0.1110
0.4867 0.5133 0.8695
0.4867 0.9733 0.8695
0.5133 0.0267 0.3695
0.5133 0.4867 0.3695
0.6667 0.3333 0.6110
0.6678 0.8339 0.6101
0.8339 0.1661 0.1101
0.8339 0.6678 0.1101
0.9733 0.4867 0.3695
```

---

Diffraction record for Li4Co3O7. The X-ray powder pattern is theoretical, not measured: it uses a cell relaxed with PBE+U and CuKα.

Most intense lines, 2θ = 10–80°, sorted by position:
- 14.6 deg, I 11
- 18.5 deg, I 100
- 36.0 deg, I 14
- 36.3 deg, I 14
- 36.3 deg, I 13
- 37.7 deg, I 8
- 43.6 deg, I 28
- 43.9 deg, I 27
- 44.1 deg, I 27
- 63.7 deg, I 15

Crystal structure
```
Li4Co3O7
1.0
6.5229 0.0000 0.0000
2.0263 6.2213 0.0000
1.9675 1.5269 6.0696
Li Co O
8 6 14
direct
0.0000 0.0000 0.0000
0.0735 0.6451 0.7904
0.2146 0.9288 0.3546
0.3472 0.2101 0.9358
0.5000 0.5000 0.5000
0.6528 0.7899 0.0642
0.7854 0.0712 0.6454
0.9265 0.3549 0.2096
0.1408 0.2845 0.5750
0.2775 0.5786 0.1371
0.4263 0.8604 0.7141
0.5737 0.1396 0.2859
0.7225 0.4214 0.8629
0.8592 0.7155 0.4250
0.0249 0.3285 0.8837
0.1320 0.9723 0.6719
0.1743 0.5976 0.4608
0.2752 0.2476 0.2551
0.3350 0.8808 0.0065
0.4041 0.5567 0.8174
0.4670 0.1616 0.5910
0.5330 0.8384 0.4090
0.5959 0.4433 0.1826
0.6650 0.1192 0.9935
0.7248 0.7524 0.7449
0.8257 0.4024 0.5392
0.8680 0.0277 0.3281
0.9751 0.6715 0.1163
```

---

Diffraction record for FeC2O6. The X-ray powder pattern is theoretical, not measured: it uses a cell relaxed with PBE+U and CuKα.

Most intense lines, 2θ = 10–80°, sorted by position:
- 18.9 deg, I 100
- 22.0 deg, I 14
- 24.5 deg, I 10
- 28.6 deg, I 10
- 31.0 deg, I 19
- 33.2 deg, I 9
- 34.9 deg, I 12
- 43.1 deg, I 13
- 47.6 deg, I 13
- 48.6 deg, I 14

Crystal structure
```
FeC2O6
1.0
2.7091 -5.7754 0.0000
2.7091 5.7754 0.0000
0.0000 0.0000 16.1763
Fe C O
4 8 24
direct
0.0000 0.0000 0.2500
0.0000 0.0000 0.7500
0.0000 0.5000 0.0000
0.5000 0.0000 0.5000
0.0000 0.5000 0.4512
0.0000 0.5000 0.5488
0.5000 0.0000 0.0488
0.5000 0.0000 0.9512
0.5000 0.5000 0.2015
0.5000 0.5000 0.2985
0.5000 0.5000 0.7015
0.5000 0.5000 0.7985
0.1500 0.3486 0.0000
0.1546 0.8454 0.2500
0.1546 0.8454 0.7500
0.2080 0.7081 0.4164
0.2080 0.7081 0.5836
0.2885 0.2957 0.3336
0.2885 0.2957 0.6664
0.2919 0.7920 0.0836
0.2919 0.7920 0.9164
0.2957 0.2885 0.1664
0.2957 0.2885 0.8336
0.3486 0.1500 0.5000
0.6514 0.8500 0.5000
0.7043 0.7115 0.1664
0.7043 0.7115 0.8336
0.7081 0.2080 0.0836
0.7081 0.2080 0.9164
0.7115 0.7043 0.3336
0.7115 0.7043 0.6664
0.7920 0.2919 0.4164
0.7920 0.2919 0.5836
0.8454 0.1546 0.2500
0.8454 0.1546 0.7500
0.8500 0.6514 0.0000
```